Structure and calculated powder diffraction line list of YMg6Cu (DFT lattice parameters and positions (GGA-PBE); Cu Kα (λ = 1.5418 Å)).
Lines closer than 0.1° are merged.

Crystal structure
Unit cell a=4.909 b=6.195 c=11.782 alpha=90.00 beta=90.00 gamma=90.00
Space group Amm2 (No. 38)
Unique sites:
Y1 0.000 0.000 0.000 x2
Mg1 0.000 0.000 0.539 x2
Mg2 0.000 0.249 0.769 x4
Mg3 0.500 0.000 0.383 x2
Mg4 0.500 0.249 0.129 x4
Cu1 0.500 0.000 0.844 x2

Most intense lines, 15° ≤ 2θ ≤ 90°, most intense first:
Position (°2θ), I/Imax
37.58, 100
32.62, 80
35.54, 73
16.17, 63
36.61, 43
23.59, 27
49.87, 24
71.45, 17
66.55, 17
24.34, 17
68.25, 15
55.40, 15

***

Structure and calculated powder diffraction line list of Mg2AlCr3S8 (DFT lattice parameters and positions (GGA-PBE); Cu Kα (λ = 1.5418 Å)).
Lines closer than 0.1° are merged.

Crystal structure
Unit cell a=7.2319 b=7.2319 c=17.6053 alpha=90.00 beta=90.00 gamma=120.00
Space group R-3m (No. 166, hexagonal axes)
Unique sites:
Mg1 0.0000 0.0000 0.1240 x6
Al1 0.0000 0.0000 0.5000 x3
Cr1 0.0000 0.5000 0.0000 x9
S1 0.0000 0.0000 0.2631 x6
S2 0.0344 0.5172 0.2543 x18

Most intense lines, 15° ≤ 2θ ≤ 90°, most intense first:
Position (°2θ), I/Imax
35.17, 100
15.05, 70
28.98, 55
50.48, 49
50.70, 48
46.19, 31
46.30, 17
63.01, 13
29.09, 13
74.35, 13
24.72, 13
84.83, 10

***

Structure and calculated powder diffraction line list of Sm6Dy2Th3 (DFT lattice parameters and positions (GGA-PBE); Cu Kα (λ = 1.5418 Å)).
Lines closer than 0.1° are merged.

Crystal structure
Unit cell a=3.5992 b=3.5992 c=96.6513 alpha=90.00 beta=90.00 gamma=120.00
Space group R-3m (No. 166, hexagonal axes)
Unique sites:
Sm1 0.0000 0.0000 0.0903 x6
Sm2 0.0000 0.0000 0.1822 x6
Sm3 0.0000 0.0000 0.3635 x6
Dy1 0.0000 0.0000 0.4546 x6
Th1 0.0000 0.0000 0.0000 x3
Th2 0.0000 0.0000 0.2727 x6

Most intense lines, 15° ≤ 2θ ≤ 90°, most intense first:
Position (°2θ), I/Imax
30.45, 100
35.31, 51
60.35, 33
50.73, 19
50.85, 18
60.48, 11
63.32, 10
82.63, 9
85.29, 9
85.49, 8
74.68, 6
82.78, 4

***

Structure and calculated powder diffraction line list of TcIr4Ru2 (DFT lattice parameters and positions (GGA-PBE); Cu Kα (λ = 1.5418 Å)).
Lines closer than 0.1° are merged.

Crystal structure
Unit cell a=4.326 b=4.677 c=10.746 alpha=90.00 beta=90.00 gamma=90.00
Space group Pmc2_1 (No. 26)
Unique sites:
Tc1 0.000 0.163 0.000 x2
Ir1 0.000 0.167 0.249 x2
Ir2 0.000 0.334 0.621 x2
Ir3 0.500 0.001 0.876 x2
Ir4 0.500 0.498 0.991 x2
Ru1 0.500 0.009 0.627 x2
Ru2 0.500 0.496 0.258 x2

Most intense lines, 15° ≤ 2θ ≤ 90°, most intense first:
Position (°2θ), I/Imax
44.16, 100
44.02, 51
41.76, 49
26.45, 35
77.88, 28
37.86, 26
84.71, 26
31.46, 24
69.75, 21
44.86, 19
86.54, 14
25.25, 13

***

Structure and calculated powder diffraction line list of BiH2Rh2 (DFT lattice parameters and positions (GGA-PBE); Cu Kα (λ = 1.5418 Å)).
Lines closer than 0.1° are merged.

Crystal structure
Unit cell a=5.608 b=9.918 c=5.081 alpha=90.00 beta=116.72 gamma=90.00
Space group C2/c (No. 15)
Unique sites:
Bi1 0.000 0.139 0.250 x4
H1 0.132 0.407 0.984 x8
Rh1 0.000 0.268 0.750 x4
Rh2 0.000 0.429 0.250 x4

Most intense lines, 15° ≤ 2θ ≤ 90°, most intense first:
Position (°2θ), I/Imax
33.57, 100
35.86, 80
39.85, 60
39.72, 60
42.34, 54
26.62, 41
32.45, 34
62.26, 34
41.50, 30
21.59, 30
56.75, 22
68.86, 21

***

Structure and calculated powder diffraction line list of RbSi2SbO8 (DFT lattice parameters and positions (GGA-PBE); Cu Kα (λ = 1.5418 Å)).
Lines closer than 0.1° are merged.

Crystal structure
Unit cell a=8.743 b=5.547 c=7.777 alpha=90.00 beta=113.36 gamma=90.00
Space group C2/m (No. 12)
Unique sites:
Rb1 0.000 0.000 0.000 x2
Si1 0.069 0.500 0.295 x4
Sb1 0.000 0.000 0.500 x2
O1 0.032 0.255 0.694 x8
O2 0.084 0.500 0.080 x4
O3 0.239 0.000 0.561 x4

Most intense lines, 15° ≤ 2θ ≤ 90°, most intense first:
Position (°2θ), I/Imax
22.15, 100
28.05, 87
19.45, 45
35.24, 33
32.28, 31
41.22, 27
41.95, 25
20.60, 24
36.80, 23
37.32, 20
24.94, 19
39.50, 14

***

Structure and calculated powder diffraction line list of KSmDy2Se4 (DFT lattice parameters and positions (GGA-PBE); Cu Kα (λ = 1.5418 Å)).
Lines closer than 0.1° are merged.

Crystal structure
Unit cell a=7.306 b=4.126 c=7.350 alpha=90.00 beta=108.41 gamma=90.00
Space group P2/m (No. 10)
Unique sites:
K1 0.000 0.000 0.000 x1
Sm1 0.500 0.500 0.000 x1
Dy1 0.000 0.500 0.500 x1
Dy2 0.500 0.000 0.500 x1
Se1 0.251 0.000 0.737 x2
Se2 0.266 0.500 0.272 x2

Most intense lines, 15° ≤ 2θ ≤ 90°, most intense first:
Position (°2θ), I/Imax
30.06, 100
43.14, 25
42.94, 24
54.12, 13
42.17, 13
43.89, 12
62.49, 12
71.04, 11
70.76, 10
52.82, 7
52.49, 6
69.65, 6

***

Structure and calculated powder diffraction line list of Cs6Hg2BrO (DFT lattice parameters and positions (GGA-PBE); Cu Kα (λ = 1.5418 Å)).
Lines closer than 0.1° are merged.

Crystal structure
Unit cell a=8.9955 b=8.9955 c=49.7640 alpha=90.00 beta=90.00 gamma=120.00
Space group R-3m (No. 166, hexagonal axes)
Unique sites:
Cs1 0.0273 0.5137 0.1324 x18
Cs2 0.0277 0.5139 0.7013 x18
Hg1 0.0000 0.0000 0.1371 x6
Hg2 0.0000 0.0000 0.3064 x6
Br1 0.0000 0.0000 0.4129 x6
O1 0.0000 0.0000 0.0000 x3
O2 0.0000 0.0000 0.5000 x3

Most intense lines, 15° ≤ 2θ ≤ 90°, most intense first:
Position (°2θ), I/Imax
26.09, 100
24.54, 65
30.28, 48
40.10, 43
21.43, 30
23.11, 27
52.45, 26
23.94, 22
45.90, 21
32.38, 19
41.57, 16
48.46, 16